Simulated X-ray diffraction stick pattern of TlFePbF6 for Cu Ka, from the GGA+U geometry in Alexandria.
Intensities are scaled so that the largest is 100.

Main lines, sorted by position (2θ = 10–80°):
| index | 2θ (°) | I (rel.) |
| --- | --- | --- |
| 1 0 0 | 17.20 | 11 |
| 0 1 1 | 24.16 | 100 |
| 1 1 0 | 30.03 | 43 |
| 1 0 2 | 38.38 | 10 |
| 2 0 1 | 38.91 | 38 |
| 2 -1 2 | 46.02 | 31 |
| 3 -2 1 | 49.91 | 29 |
| 3 0 0 | 53.32 | 11 |
| 0 1 3 | 55.27 | 12 |
| 3 0 2 | 64.79 | 10 |
| 3 1 1 | 67.94 | 12 |
| 1 2 3 | 72.47 | 11 |

Atomic structure:
```
TlFePbF6
1.0
5.952 0.000 0.000
-2.976 5.154 0.000
0.000 0.000 5.267
Tl Fe Pb F
1 1 1 6
Direct
0.000 0.000 0.000 Tl
0.667 0.333 0.584 Fe
0.333 0.667 0.482 Pb
0.364 0.261 0.378 F
0.452 0.015 0.786 F
0.563 0.548 0.786 F
0.739 0.103 0.378 F
0.897 0.636 0.378 F
0.985 0.437 0.786 F
```